# 1
Structure and simulated powder diffractogram of HoSiHRu2 (DFT lattice parameters and positions (PBE); a wavelength of 1.5418 Å).
No peak broadening, texture or thermal motion is included.

Structural model:
abc: 5.862 5.862 7.508
angles: 90.00 90.00 147.64
Atoms (fractional coordinates):
Ho 0.038 0.962 0.750
Ho 0.962 0.038 0.250
Si 0.238 0.762 0.250
Si 0.762 0.238 0.750
H 0.500 0.500 0.000
H 0.500 0.500 0.500
Ru 0.347 0.653 0.547
Ru 0.347 0.653 0.953
Ru 0.653 0.347 0.047
Ru 0.653 0.347 0.453

Top 6 peaks for 10 to 80 degrees two-theta, sorted by position:
2θ = 28.58°, I = 45; 2θ = 36.46°, I = 78; 2θ = 37.35°, I = 100; 2θ = 38.45°, I = 31; 2θ = 39.40°, I = 31; 2θ = 40.04°, I = 39

---

# 2
Structure and simulated powder diffractogram of HoSc3H8 (DFT lattice parameters and positions (PBE); a wavelength of 1.5418 Å).
No peak broadening, texture or thermal motion is included.

Structural model:
abc: 4.851 4.851 4.851
angles: 90.00 90.00 90.00
Atoms (fractional coordinates):
Ho 0.000 0.000 0.000
Sc 0.000 0.500 0.500
Sc 0.500 0.000 0.500
Sc 0.500 0.500 0.000
H 0.259 0.259 0.259
H 0.259 0.259 0.741
H 0.259 0.741 0.259
H 0.259 0.741 0.741
H 0.741 0.259 0.259
H 0.741 0.259 0.741
H 0.741 0.741 0.259
H 0.741 0.741 0.741

Top 6 peaks for 10 to 80 degrees two-theta, sorted by position:
2θ = 18.29°, I = 43; 2θ = 25.98°, I = 39; 2θ = 31.96°, I = 100; 2θ = 37.07°, I = 46; 2θ = 53.43°, I = 35; 2θ = 63.62°, I = 38

---

# 3
Structure and simulated powder diffractogram of HoScH (DFT lattice parameters and positions (PBE); a wavelength of 1.5418 Å).
No peak broadening, texture or thermal motion is included.

Structural model:
abc: 6.008 7.033 5.462
angles: 90.00 90.00 90.00
Atoms (fractional coordinates):
Ho 0.078 0.132 0.000
Ho 0.422 0.132 0.500
Ho 0.578 0.868 0.000
Ho 0.922 0.868 0.500
Sc 0.088 0.614 0.017
Sc 0.412 0.614 0.517
Sc 0.588 0.386 0.017
Sc 0.912 0.386 0.517
H 0.093 0.610 0.398
H 0.407 0.610 0.898
H 0.593 0.390 0.398
H 0.907 0.390 0.898

Top 6 peaks for 10 to 80 degrees two-theta, sorted by position:
2θ = 12.59°, I = 41; 2θ = 25.42°, I = 42; 2θ = 29.43°, I = 23; 2θ = 32.80°, I = 36; 2θ = 33.79°, I = 100; 2θ = 34.06°, I = 46

---

Please write out number 1 again, unchanged.
Structure and simulated powder diffractogram of HoSiHRu2 (DFT lattice parameters and positions (PBE); a wavelength of 1.5418 Å).
No peak broadening, texture or thermal motion is included.

Structural model:
abc: 5.862 5.862 7.508
angles: 90.00 90.00 147.64
Atoms (fractional coordinates):
Ho 0.038 0.962 0.750
Ho 0.962 0.038 0.250
Si 0.238 0.762 0.250
Si 0.762 0.238 0.750
H 0.500 0.500 0.000
H 0.500 0.500 0.500
Ru 0.347 0.653 0.547
Ru 0.347 0.653 0.953
Ru 0.653 0.347 0.047
Ru 0.653 0.347 0.453

Top 6 peaks for 10 to 80 degrees two-theta, sorted by position:
2θ = 28.58°, I = 45; 2θ = 36.46°, I = 78; 2θ = 37.35°, I = 100; 2θ = 38.45°, I = 31; 2θ = 39.40°, I = 31; 2θ = 40.04°, I = 39